Entry 1:
Ce3AlZnS7: theoretical PXRD pattern (λ = 1.5418 Å (Cu Kα)), based on a DFT-relaxed cell (PBE, Alexandria).

Largest 10 diffraction maxima, in order of rising 2θ, 15 to 90 degrees two-theta:
| 2θ/deg | I_rel | (hkl) |
| --- | --- | --- |
| 17.7 | 48 | 1 0 1 |
| 22.8 | 34 | 1 1 1 |
| 25.0 | 100 | 2 0 1 |
| 26.9 | 55 | 2 1 0 |
| 34.0 | 45 | 3 0 1 |
| 35.5 | 47 | 2 2 0 |
| 39.9 | 42 | 1 3 1 |
| 40.2 | 67 | 2 1 2 |
| 47.6 | 34 | 1 4 0 |
| 50.0 | 33 | 4 1 1 |

Structural model:
Cell: 10.1156 10.1156 6.1074 Å, 90.00 90.00 120.00°
Space group P6_3 (No. 173)
Asymmetric unit:
Ce (0.1422, 0.7667, 0.0000) (multiplicity 6)
Al (0.3333, 0.6667, 0.5822) (multiplicity 2)
Zn (0.0000, 0.0000, 0.4144) (multiplicity 2)
S (0.0990, 0.5205, 0.7311) (multiplicity 6)
S (0.0989, 0.8448, 0.4575) (multiplicity 6)
S (0.3333, 0.6667, 0.2152) (multiplicity 2)

=====

Entry 2:
Sm2MgZn2Pd5: theoretical PXRD pattern (λ = 1.5418 Å (Cu Kα)), based on a DFT-relaxed cell (PBE, Alexandria).

Largest 10 diffraction maxima, in order of rising 2θ, 15 to 90 degrees two-theta:
| 2θ/deg | I_rel | (hkl) |
| --- | --- | --- |
| 31.1 | 39 | 2 1 1 |
| 35.0 | 23 | 2 2 1 |
| 37.3 | 100 | 3 1 1 |
| 37.6 | 73 | 4 1 0 |
| 38.7 | 31 | 3 3 0 |
| 40.7 | 52 | 3 2 1 |
| 43.8 | 23 | 4 0 1 |
| 48.0 | 30 | 0 0 2 |
| 62.5 | 32 | 4 1 2 |
| 63.3 | 22 | 3 3 2 |

Structural model:
Cell: 9.8646 9.8646 3.7902 Å, 90.00 90.00 90.00°
Space group P4/mbm (No. 127)
Asymmetric unit:
Sm (0.1770, 0.3230, 0.0000) (multiplicity 4)
Mg (0.0000, 0.0000, 0.0000) (multiplicity 2)
Zn (0.1202, 0.6202, 0.0000) (multiplicity 4)
Pd (0.0000, 0.5000, 0.5000) (multiplicity 2)
Pd (0.0656, 0.7932, 0.5000) (multiplicity 8)

=====

Entry 3:
ThSi4Pd6: theoretical PXRD pattern (λ = 1.5418 Å (Cu Kα)), based on a DFT-relaxed cell (PBE, Alexandria).

Largest 10 diffraction maxima, in order of rising 2θ, 15 to 90 degrees two-theta:
| 2θ/deg | I_rel | (hkl) |
| --- | --- | --- |
| 26.5 | 20 | 1 0 1 |
| 29.0 | 22 | 2 0 0 |
| 33.7 | 20 | 1 1 1 |
| 36.8 | 100 | 2 0 1 |
| 38.7 | 27 | 2 1 0 |
| 45.2 | 19 | 0 0 2 |
| 51.4 | 18 | 2 2 0 |
| 61.0 | 14 | 2 1 2 |
| 70.7 | 13 | 3 2 1 |
| 70.8 | 14 | 2 2 2 |

Structural model:
Cell: 7.1150 7.1150 4.0115 Å, 90.00 90.00 120.00°
Space group P-6m2 (No. 187)
Asymmetric unit:
Th (0.0000, 0.0000, 0.0000) (multiplicity 1)
Si (0.3333, 0.6667, 0.0000) (multiplicity 1)
Si (0.3994, 0.1997, 0.5000) (multiplicity 3)
Pd (0.1978, 0.3956, 0.5000) (multiplicity 3)
Pd (0.5336, 0.0673, 0.0000) (multiplicity 3)